No. 1
Simulated powder X-ray diffraction pattern
Compound: Tb4Y2Th3
Radiation: a wavelength of 1.5418 Å
Structure: a PBE-relaxed structure

Structural model:
Cell lengths 3.5683, 3.5683, 26.5409 Å; angles 90.00, 90.00, 120.00 degrees
Space group P3m1 (No. 156)
One atom of each set of equivalent atoms:
Tb: 0.0000 0.0000 0.0000 [1 per cell]
Tb: 0.0000 0.0000 0.2180 [1 per cell]
Tb: 0.3333 0.6667 0.3269 [1 per cell]
Tb: 0.3333 0.6667 0.5466 [1 per cell]
Y: 0.0000 0.0000 0.6554 [1 per cell]
Y: 0.0000 0.0000 0.8743 [1 per cell]
Th: 0.0000 0.0000 0.4367 [1 per cell]
Th: 0.3333 0.6667 0.1068 [1 per cell]
Th: 0.3333 0.6667 0.7671 [1 per cell]

Most intense lines, 10 to 90 degrees two-theta, by intensity:
| Position (°2θ) | I_rel | index |
| --- | --- | --- |
| 33.6 | 100 | 1 0 5 |
| 31.9 | 75 | 0 1 4 |
| 30.3 | 51 | 0 0 9 |
| 28.9 | 45 | 1 0 0 |
| 60.7 | 43 | 1 1 9 |
| 51.2 | 37 | 1 1 0 |
| 42.4 | 31 | 1 0 9 |
| 57.0 | 30 | 1 0 14 |
| 62.6 | 17 | 0 2 5 |
| 85.4 | 15 | 1 1 18 |


No. 2
Simulated powder X-ray diffraction pattern
Compound: Sm2Si2HIr2
Radiation: a wavelength of 1.5418 Å
Structure: a PBE-relaxed structure

Structural model:
Cell lengths 10.6642, 4.1875, 6.9594 Å; angles 90.00, 129.83, 90.00 degrees
Space group C2/m (No. 12)
One atom of each set of equivalent atoms:
Sm: 0.0650 0.0000 0.2955 [4 per cell]
Si: 0.1496 0.5000 0.7045 [4 per cell]
H: 0.0000 0.5000 0.0000 [2 per cell]
Ir: 0.2148 0.5000 0.1160 [4 per cell]

Most intense lines, 10 to 90 degrees two-theta, by intensity:
| Position (°2θ) | I_rel | index |
| --- | --- | --- |
| 35.1 | 100 | 1 1 -2 |
| 33.3 | 71 | 3 1 -1 |
| 43.2 | 25 | 0 2 0 |
| 40.6 | 23 | 4 0 -3 |
| 60.8 | 22 | 4 2 -3 |
| 24.8 | 19 | 1 1 -1 |
| 39.4 | 18 | 3 1 0 |
| 16.6 | 17 | 0 0 1 |
| 56.9 | 14 | 2 2 1 |
| 34.1 | 13 | 4 0 -2 |


What did the first record say?
Simulated powder X-ray diffraction pattern
Compound: Tb4Y2Th3
Radiation: a wavelength of 1.5418 Å
Structure: a PBE-relaxed structure

Structural model:
Cell lengths 3.5683, 3.5683, 26.5409 Å; angles 90.00, 90.00, 120.00 degrees
Space group P3m1 (No. 156)
One atom of each set of equivalent atoms:
Tb: 0.0000 0.0000 0.0000 [1 per cell]
Tb: 0.0000 0.0000 0.2180 [1 per cell]
Tb: 0.3333 0.6667 0.3269 [1 per cell]
Tb: 0.3333 0.6667 0.5466 [1 per cell]
Y: 0.0000 0.0000 0.6554 [1 per cell]
Y: 0.0000 0.0000 0.8743 [1 per cell]
Th: 0.0000 0.0000 0.4367 [1 per cell]
Th: 0.3333 0.6667 0.1068 [1 per cell]
Th: 0.3333 0.6667 0.7671 [1 per cell]

Most intense lines, 10 to 90 degrees two-theta, by intensity:
| Position (°2θ) | I_rel | index |
| --- | --- | --- |
| 33.6 | 100 | 1 0 5 |
| 31.9 | 75 | 0 1 4 |
| 30.3 | 51 | 0 0 9 |
| 28.9 | 45 | 1 0 0 |
| 60.7 | 43 | 1 1 9 |
| 51.2 | 37 | 1 1 0 |
| 42.4 | 31 | 1 0 9 |
| 57.0 | 30 | 1 0 14 |
| 62.6 | 17 | 0 2 5 |
| 85.4 | 15 | 1 1 18 |